Entry 1:
Computed powder XRD pattern
Compound: Li6BiAu5
Radiation: Cu Kα, 1.54184 Å
Structure: a DFT-relaxed cell (PBE, Alexandria)

Main lines, in order of rising 2θ (2θ = 10–90°):
- 2θ = 26.62°, I 1000
- 2θ = 28.07°, I 875
- 2θ = 29.01°, I 805
- 2θ = 39.07°, I 822
- 2θ = 39.77°, I 780
- 2θ = 40.69°, I 364
- 2θ = 40.93°, I 362
- 2θ = 49.29°, I 383
- 2θ = 49.49°, I 381
- 2θ = 62.72°, I 190

Crystal structure
```
data_Li6BiAu5
_chemical_formula_sum 'Li6 Bi1 Au5'
_cell_length_a 4.4124
_cell_length_b 6.6978
_cell_length_c 6.9445
_cell_angle_alpha 90.00
_cell_angle_beta 106.68
_cell_angle_gamma 90.00
_space_group_name_H-M_alt 'P 1 2/m 1'
_space_group_IT_number 10
loop_
_space_group_symop_operation_xyz
'x,y,z'
'-x,-y,-z'
'-x,y,-z'
'x,-y,z'
loop_
_atom_site_label
_atom_site_fract_x
_atom_site_fract_y
_atom_site_fract_z
_atom_site_occupancy
Li1 0.0000 0.2292 0.0000 1
Li2 0.3297 0.2359 0.6552 1
Bi1 0.5000 0.5000 0.0000 1
Au1 0.1616 0.0000 0.3290 1
Au2 0.1652 0.5000 0.3419 1
Au3 0.5000 0.0000 0.0000 1
```

Entry 2:
Computed powder XRD pattern
Compound: Li7BiAu2
Radiation: Cu Kα, 1.54184 Å
Structure: a DFT-relaxed cell (PBE, Alexandria)

Main lines, in order of rising 2θ (2θ = 10–90°):
- 2θ = 23.85°, I 1000
- 2θ = 25.13°, I 287
- 2θ = 27.99°, I 632
- 2θ = 39.16°, I 327
- 2θ = 40.81°, I 278
- 2θ = 46.37°, I 177
- 2θ = 47.10°, I 330
- 2θ = 48.53°, I 141
- 2θ = 48.82°, I 142
- 2θ = 62.27°, I 149

Crystal structure
```
data_Li7BiAu2
_chemical_formula_sum 'Li7 Bi1 Au2'
_cell_length_a 4.6006
_cell_length_b 4.6006
_cell_length_c 10.6314
_cell_angle_alpha 90.00
_cell_angle_beta 90.00
_cell_angle_gamma 120.00
_space_group_name_H-M_alt 'P 3 m 1'
_space_group_IT_number 156
loop_
_space_group_symop_operation_xyz
'x,y,z'
'-y,x-y,z'
'-x+y,-x,z'
'-y,-x,z'
'-x+y,y,z'
'x,x-y,z'
loop_
_atom_site_label
_atom_site_fract_x
_atom_site_fract_y
_atom_site_fract_z
_atom_site_occupancy
Li1 0.0000 0.0000 0.0000 1
Li2 0.0000 0.0000 0.2554 1
Li3 0.0000 0.0000 0.7378 1
Li4 0.3333 0.6667 0.4258 1
Li5 0.3333 0.6667 0.8655 1
Li6 0.6667 0.3333 0.0978 1
Li7 0.6667 0.3333 0.5840 1
Bi1 0.3333 0.6667 0.1438 1
Au1 0.0000 0.0000 0.4999 1
Au2 0.6667 0.3333 0.8380 1
```

Entry 3:
Computed powder XRD pattern
Compound: Li5Bi2Au4
Radiation: Cu Kα, 1.54184 Å
Structure: a DFT-relaxed cell (PBE, Alexandria)

Main lines, in order of rising 2θ (2θ = 10–90°):
- 2θ = 18.86°, I 163
- 2θ = 23.66°, I 666
- 2θ = 29.57°, I 1000
- 2θ = 37.15°, I 256
- 2θ = 38.25°, I 427
- 2θ = 38.90°, I 227
- 2θ = 39.19°, I 181
- 2θ = 42.31°, I 407
- 2θ = 48.21°, I 231
- 2θ = 49.88°, I 170

Crystal structure
```
data_Li5Bi2Au4
_chemical_formula_sum 'Li10 Bi4 Au8'
_cell_length_a 9.9122
_cell_length_b 6.0328
_cell_length_c 7.9693
_cell_angle_alpha 90.00
_cell_angle_beta 120.08
_cell_angle_gamma 90.00
_space_group_name_H-M_alt 'C 1 2/m 1'
_space_group_IT_number 12
loop_
_space_group_symop_operation_xyz
'x,y,z'
'-x,-y,-z'
'-x,y,-z'
'x,-y,z'
'x+1/2,y+1/2,z'
'-x+1/2,-y+1/2,-z'
'-x+1/2,y+1/2,-z'
'x+1/2,-y+1/2,z'
loop_
_atom_site_label
_atom_site_fract_x
_atom_site_fract_y
_atom_site_fract_z
_atom_site_occupancy
Li1 0.0000 0.0000 0.0000 1
Li2 0.1670 0.2758 0.6790 1
Bi1 0.0865 0.5000 0.2941 1
Au1 0.0708 0.0000 0.3630 1
Au2 0.2414 0.5000 0.0221 1
```

Entry 4:
Computed powder XRD pattern
Compound: Li2BiAu
Radiation: Cu Kα, 1.54184 Å
Structure: a DFT-relaxed cell (PBE, Alexandria)

Main lines, in order of rising 2θ (2θ = 10–90°):
- 2θ = 21.21°, I 1000
- 2θ = 22.57°, I 636
- 2θ = 35.64°, I 671
- 2θ = 36.46°, I 237
- 2θ = 38.01°, I 202
- 2θ = 38.91°, I 459
- 2θ = 40.42°, I 220
- 2θ = 46.08°, I 277
- 2θ = 47.37°, I 297
- 2θ = 50.01°, I 214

Crystal structure
```
data_Li2BiAu
_chemical_formula_sum 'Li8 Bi4 Au4'
_cell_length_a 8.3771
_cell_length_b 7.2251
_cell_length_c 5.6761
_cell_angle_alpha 90.00
_cell_angle_beta 90.00
_cell_angle_gamma 90.00
_space_group_name_H-M_alt 'C m c m'
_space_group_IT_number 63
_space_group_name_Hall '-C 2c 2'
loop_
_atom_site_label
_atom_site_fract_x
_atom_site_fract_y
_atom_site_fract_z
_atom_site_occupancy
Li1 0.1786 0.2014 0.2500 1
Bi1 0.0000 0.1610 0.7500 1
Au1 0.0000 0.5000 0.0000 1
```

Entry 5:
Computed powder XRD pattern
Compound: Li6Bi2Au
Radiation: Cu Kα, 1.54184 Å
Structure: a DFT-relaxed cell (PBE, Alexandria)

Main lines, in order of rising 2θ (2θ = 10–90°):
- 2θ = 21.66°, I 1000
- 2θ = 23.85°, I 381
- 2θ = 28.18°, I 571
- 2θ = 31.27°, I 191
- 2θ = 31.54°, I 187
- 2θ = 36.59°, I 154
- 2θ = 39.70°, I 244
- 2θ = 39.92°, I 241
- 2θ = 40.66°, I 229
- 2θ = 44.15°, I 154

Crystal structure
```
data_Li6Bi2Au
_chemical_formula_sum 'Li12 Bi4 Au2'
_cell_length_a 15.1156
_cell_length_b 7.4626
_cell_length_c 3.4968
_cell_angle_alpha 90.00
_cell_angle_beta 102.86
_cell_angle_gamma 90.00
_space_group_name_H-M_alt 'C 1 2/m 1'
_space_group_IT_number 12
loop_
_space_group_symop_operation_xyz
'x,y,z'
'-x,-y,-z'
'-x,y,-z'
'x,-y,z'
'x+1/2,y+1/2,z'
'-x+1/2,-y+1/2,-z'
'-x+1/2,y+1/2,-z'
'x+1/2,-y+1/2,z'
loop_
_atom_site_label
_atom_site_fract_x
_atom_site_fract_y
_atom_site_fract_z
_atom_site_occupancy
Li1 0.0000 0.2145 0.0000 1
Li2 0.1668 0.3102 0.6661 1
Bi1 0.1626 0.0000 0.1635 1
Au1 0.0000 0.5000 0.5000 1
```

Entry 6:
Computed powder XRD pattern
Compound: Li6BiAu
Radiation: Cu Kα, 1.54184 Å
Structure: a DFT-relaxed cell (PBE, Alexandria)

Main lines, in order of rising 2θ (2θ = 10–90°):
- 2θ = 17.25°, I 421
- 2θ = 25.56°, I 1000
- 2θ = 30.10°, I 448
- 2θ = 37.97°, I 99
- 2θ = 39.89°, I 390
- 2θ = 41.98°, I 94
- 2θ = 49.20°, I 237
- 2θ = 50.78°, I 327
- 2θ = 68.74°, I 134
- 2θ = 77.94°, I 97

Crystal structure
```
data_Li6BiAu
_chemical_formula_sum 'Li6 Bi1 Au1'
_cell_length_a 5.9370
_cell_length_b 5.9370
_cell_length_c 4.7395
_cell_angle_alpha 90.00
_cell_angle_beta 90.00
_cell_angle_gamma 120.00
_space_group_name_H-M_alt 'P -6 m 2'
_space_group_IT_number 187
_space_group_name_Hall 'P -6 2'
loop_
_atom_site_label
_atom_site_fract_x
_atom_site_fract_y
_atom_site_fract_z
_atom_site_occupancy
Li1 0.0075 0.5037 0.0000 1
Li2 0.3193 0.1597 0.5000 1
Bi1 0.3333 0.6667 0.5000 1
Au1 0.0000 0.0000 0.0000 1
```

Entry 7:
Computed powder XRD pattern
Compound: LiBiAu6
Radiation: Cu Kα, 1.54184 Å
Structure: a DFT-relaxed cell (PBE, Alexandria)

Main lines, in order of rising 2θ (2θ = 10–90°):
- 2θ = 16.99°, I 82
- 2θ = 24.91°, I 99
- 2θ = 34.37°, I 249
- 2θ = 36.64°, I 265
- 2θ = 39.10°, I 1000
- 2θ = 51.11°, I 165
- 2θ = 61.56°, I 176
- 2θ = 67.61°, I 205
- 2θ = 73.82°, I 209
- 2θ = 75.38°, I 149

Crystal structure
```
data_LiBiAu6
_chemical_formula_sum 'Li1 Bi1 Au6'
_cell_length_a 6.0261
_cell_length_b 6.0261
_cell_length_c 4.9054
_cell_angle_alpha 90.00
_cell_angle_beta 90.00
_cell_angle_gamma 120.00
_space_group_name_H-M_alt 'P -6 m 2'
_space_group_IT_number 187
_space_group_name_Hall 'P -6 2'
loop_
_atom_site_label
_atom_site_fract_x
_atom_site_fract_y
_atom_site_fract_z
_atom_site_occupancy
Li1 0.0000 0.0000 0.0000 1
Bi1 0.3333 0.6667 0.5000 1
Au1 0.3244 0.1622 0.5000 1
Au2 0.5062 0.0124 0.0000 1
```

Entry 8:
Computed powder XRD pattern
Compound: Mg5BiAu4
Radiation: Cu Kα, 1.54184 Å
Structure: a DFT-relaxed cell (PBE, Alexandria)

Main lines, in order of rising 2θ (2θ = 10–90°):
- 2θ = 25.48°, I 427
- 2θ = 26.42°, I 975
- 2θ = 37.03°, I 1000
- 2θ = 37.71°, I 663
- 2θ = 40.93°, I 210
- 2θ = 46.06°, I 365
- 2θ = 54.39°, I 232
- 2θ = 60.99°, I 161
- 2θ = 61.45°, I 197
- 2θ = 67.63°, I 350

Crystal structure
```
data_Mg5BiAu4
_chemical_formula_sum 'Mg5 Bi1 Au4'
_cell_length_a 3.3738
_cell_length_b 3.3738
_cell_length_c 17.4768
_cell_angle_alpha 90.00
_cell_angle_beta 90.00
_cell_angle_gamma 90.00
_space_group_name_H-M_alt 'P 4/m m m'
_space_group_IT_number 123
_space_group_name_Hall '-P 4 2'
loop_
_atom_site_label
_atom_site_fract_x
_atom_site_fract_y
_atom_site_fract_z
_atom_site_occupancy
Mg1 0.0000 0.0000 0.0000 1
Mg2 0.0000 0.0000 0.1824 1
Mg3 0.0000 0.0000 0.3619 1
Bi1 0.5000 0.5000 0.5000 1
Au1 0.5000 0.5000 0.0912 1
Au2 0.5000 0.5000 0.2749 1
```

Entry 9:
Computed powder XRD pattern
Compound: MgNpBiAu
Radiation: Cu Kα, 1.54184 Å
Structure: a DFT-relaxed cell (PBE, Alexandria)

Main lines, in order of rising 2θ (2θ = 10–90°):
- 2θ = 21.00°, I 218
- 2θ = 24.30°, I 60
- 2θ = 34.63°, I 1000
- 2θ = 40.85°, I 124
- 2θ = 49.78°, I 183
- 2θ = 54.60°, I 55
- 2θ = 62.06°, I 382
- 2θ = 66.29°, I 42
- 2θ = 73.06°, I 120
- 2θ = 83.44°, I 173

Crystal structure
```
data_MgNpBiAu
_chemical_formula_sum 'Mg4 Np4 Bi4 Au4'
_cell_length_a 7.3264
_cell_length_b 7.3264
_cell_length_c 7.3264
_cell_angle_alpha 90.00
_cell_angle_beta 90.00
_cell_angle_gamma 90.00
_space_group_name_H-M_alt 'F -4 3 m'
_space_group_IT_number 216
_space_group_name_Hall 'F -4 2 3'
loop_
_atom_site_label
_atom_site_fract_x
_atom_site_fract_y
_atom_site_fract_z
_atom_site_occupancy
Mg1 0.0000 0.0000 0.0000 1
Np1 0.0000 0.0000 0.5000 1
Bi1 0.2500 0.2500 0.7500 1
Au1 0.2500 0.2500 0.2500 1
```

Entry 10:
Computed powder XRD pattern
Compound: Bi2AuN
Radiation: Cu Kα, 1.54184 Å
Structure: a DFT-relaxed cell (PBE, Alexandria)

Main lines, in order of rising 2θ (2θ = 10–90°):
- 2θ = 26.11°, I 1000
- 2θ = 28.44°, I 175
- 2θ = 33.44°, I 342
- 2θ = 41.31°, I 209
- 2θ = 44.25°, I 421
- 2θ = 44.76°, I 126
- 2θ = 49.53°, I 235
- 2θ = 54.59°, I 136
- 2θ = 59.60°, I 132
- 2θ = 69.71°, I 84

Crystal structure
```
data_Bi2AuN
_chemical_formula_sum 'Bi8 Au4 N4'
_cell_length_a 6.1814
_cell_length_b 6.1814
_cell_length_c 10.9265
_cell_angle_alpha 90.00
_cell_angle_beta 90.00
_cell_angle_gamma 90.00
_space_group_name_H-M_alt 'I -4 2 d'
_space_group_IT_number 122
_space_group_name_Hall 'I -4 2bw'
loop_
_atom_site_label
_atom_site_fract_x
_atom_site_fract_y
_atom_site_fract_z
_atom_site_occupancy
Bi1 0.1910 0.2500 0.1250 1
Au1 0.0000 0.0000 0.5000 1
N1 0.0000 0.0000 0.0000 1
```

Entry 11:
Computed powder XRD pattern
Compound: BiPRuAuSN
Radiation: Cu Kα, 1.54184 Å
Structure: a DFT-relaxed cell (PBE, Alexandria)

Main lines, in order of rising 2θ (2θ = 10–90°):
- 2θ = 12.93°, I 371
- 2θ = 19.88°, I 235
- 2θ = 27.02°, I 267
- 2θ = 27.48°, I 645
- 2θ = 31.49°, I 240
- 2θ = 31.62°, I 1000
- 2θ = 35.82°, I 303
- 2θ = 37.76°, I 289
- 2θ = 38.29°, I 244
- 2θ = 53.12°, I 226

Crystal structure
```
data_BiPRuAuSN
_chemical_formula_sum 'Bi1 P1 Ru1 Au1 S1 N1'
_cell_length_a 4.7013
_cell_length_b 3.6806
_cell_length_c 7.2073
_cell_angle_alpha 90.00
_cell_angle_beta 108.17
_cell_angle_gamma 90.00
_space_group_name_H-M_alt 'P 1 m 1'
_space_group_IT_number 6
loop_
_space_group_symop_operation_xyz
'x,y,z'
'x,-y,z'
loop_
_atom_site_label
_atom_site_fract_x
_atom_site_fract_y
_atom_site_fract_z
_atom_site_occupancy
Bi1 0.0000 0.0000 0.0000 1
P1 0.3852 0.5000 0.7372 1
Ru1 0.6065 0.0000 0.6522 1
Au1 0.6453 0.5000 0.2209 1
S1 0.8727 0.5000 0.5533 1
N1 0.2996 0.5000 0.9519 1
```

Entry 12:
Computed powder XRD pattern
Compound: BiPRuAuSN
Radiation: Cu Kα, 1.54184 Å
Structure: a DFT-relaxed cell (PBE, Alexandria)

Main lines, in order of rising 2θ (2θ = 10–90°):
- 2θ = 22.61°, I 829
- 2θ = 25.40°, I 1000
- 2θ = 26.45°, I 697
- 2θ = 28.43°, I 729
- 2θ = 29.11°, I 780
- 2θ = 32.62°, I 336
- 2θ = 33.46°, I 322
- 2θ = 41.26°, I 391
- 2θ = 43.65°, I 328
- 2θ = 44.94°, I 308

Crystal structure
```
data_BiPRuAuSN
_chemical_formula_sum 'Bi1 P1 Ru1 Au1 S1 N1'
_cell_length_a 3.8336
_cell_length_b 4.5139
_cell_length_c 8.0155
_cell_angle_alpha 99.50
_cell_angle_beta 90.98
_cell_angle_gamma 113.30
_space_group_name_H-M_alt 'P 1'
_space_group_IT_number 1
loop_
_space_group_symop_operation_xyz
'x,y,z'
loop_
_atom_site_label
_atom_site_fract_x
_atom_site_fract_y
_atom_site_fract_z
_atom_site_occupancy
Bi1 0.0000 0.0000 0.0000 1
P1 0.4738 0.9558 0.6814 1
Ru1 0.1166 0.2548 0.6953 1
Au1 0.0091 0.6799 0.4492 1
S1 0.7160 0.4179 0.1721 1
N1 0.3742 0.7003 0.8238 1
```

Entry 13:
Computed powder XRD pattern
Compound: Pa2Bi2AuN2
Radiation: Cu Kα, 1.54184 Å
Structure: a DFT-relaxed cell (PBE, Alexandria)

Main lines, in order of rising 2θ (2θ = 10–90°):
- 2θ = 26.89°, I 232
- 2θ = 27.71°, I 1000
- 2θ = 30.05°, I 438
- 2θ = 33.30°, I 372
- 2θ = 33.62°, I 307
- 2θ = 38.11°, I 424
- 2θ = 47.50°, I 440
- 2θ = 49.05°, I 217
- 2θ = 59.24°, I 441
- 2θ = 76.34°, I 158

Crystal structure
```
data_Pa2Bi2AuN2
_chemical_formula_sum 'Pa2 Bi2 Au1 N2'
_cell_length_a 3.8283
_cell_length_b 3.8283
_cell_length_c 13.4537
_cell_angle_alpha 90.00
_cell_angle_beta 90.00
_cell_angle_gamma 120.00
_space_group_name_H-M_alt 'P -3 m 1'
_space_group_IT_number 164
_space_group_name_Hall '-P 3 2"'
loop_
_atom_site_label
_atom_site_fract_x
_atom_site_fract_y
_atom_site_fract_z
_atom_site_occupancy
Pa1 0.3333 0.6667 0.1065 1
Bi1 0.0000 0.0000 0.2994 1
Au1 0.0000 0.0000 0.5000 1
N1 0.3333 0.6667 0.9365 1
```

Entry 14:
Computed powder XRD pattern
Compound: Na2BiAu2
Radiation: Cu Kα, 1.54184 Å
Structure: a DFT-relaxed cell (PBE, Alexandria)

Main lines, in order of rising 2θ (2θ = 10–90°):
- 2θ = 19.67°, I 1000
- 2θ = 31.06°, I 378
- 2θ = 36.99°, I 977
- 2θ = 37.27°, I 278
- 2θ = 39.96°, I 206
- 2θ = 42.49°, I 292
- 2θ = 47.01°, I 499
- 2θ = 55.76°, I 225
- 2θ = 63.36°, I 279
- 2θ = 67.02°, I 183

Crystal structure
```
data_Na2BiAu2
_chemical_formula_sum 'Na4 Bi2 Au4'
_cell_length_a 4.8255
_cell_length_b 5.9199
_cell_length_c 9.0249
_cell_angle_alpha 90.00
_cell_angle_beta 90.00
_cell_angle_gamma 90.00
_space_group_name_H-M_alt 'I m m m'
_space_group_IT_number 71
_space_group_name_Hall '-I 2 2'
loop_
_atom_site_label
_atom_site_fract_x
_atom_site_fract_y
_atom_site_fract_z
_atom_site_occupancy
Na1 0.0000 0.0000 0.1981 1
Bi1 0.0000 0.5000 0.0000 1
Au1 0.0000 0.2714 0.5000 1
```

Entry 15:
Computed powder XRD pattern
Compound: Na3Bi4Au
Radiation: Cu Kα, 1.54184 Å
Structure: a DFT-relaxed cell (PBE, Alexandria)

Main lines, in order of rising 2θ (2θ = 10–90°):
- 2θ = 18.24°, I 843
- 2θ = 25.00°, I 211
- 2θ = 26.19°, I 462
- 2θ = 28.52°, I 369
- 2θ = 34.38°, I 363
- 2θ = 36.66°, I 1000
- 2θ = 40.19°, I 213
- 2θ = 45.25°, I 216
- 2θ = 53.90°, I 184
- 2θ = 63.07°, I 213

Crystal structure
```
data_Na3Bi4Au
_chemical_formula_sum 'Na6 Bi8 Au2'
_cell_length_a 5.2177
_cell_length_b 7.0712
_cell_length_c 13.4619
_cell_angle_alpha 90.00
_cell_angle_beta 90.00
_cell_angle_gamma 90.00
_space_group_name_H-M_alt 'I m m m'
_space_group_IT_number 71
_space_group_name_Hall '-I 2 2'
loop_
_atom_site_label
_atom_site_fract_x
_atom_site_fract_y
_atom_site_fract_z
_atom_site_occupancy
Na1 0.0000 0.0000 0.0000 1
Na2 0.0000 0.5000 0.1183 1
Bi1 0.0000 0.2741 0.3339 1
Au1 0.0000 0.0000 0.5000 1
```